# 1
Diffraction record for Nb2Tl4S11. The X-ray powder pattern is simulated, not measured: it uses the PBE geometry in OQMD and Cu Ka.

```
data_Nb2Tl4S11
_symmetry_space_group_name_H-M 'P -1'
_symmetry_Int_Tables_number 2
_cell_length_a 7.969
_cell_length_b 9.053
_cell_length_c 13.426
_cell_angle_alpha 72.56
_cell_angle_beta 88.78
_cell_angle_gamma 85.49
loop_
_symmetry_equiv_pos_as_xyz
'x,y,z'
'-x,-y,-z'
loop_
_atom_site_label
_atom_site_type_symbol
_atom_site_fract_x
_atom_site_fract_y
_atom_site_fract_z
Nb1 Nb 0.120 0.364 0.305
Nb2 Nb 0.333 0.111 0.189
Tl1 Tl 0.056 0.762 0.975
Tl2 Tl 0.216 0.970 0.572
Tl3 Tl 0.241 0.418 0.584
Tl4 Tl 0.498 0.727 0.116
S1 S 0.013 0.708 0.534
S2 S 0.038 0.134 0.253
S3 S 0.043 0.646 0.245
S4 S 0.108 0.488 0.813
S5 S 0.270 0.398 0.111
S6 S 0.271 0.040 0.043
S7 S 0.364 0.868 0.332
S8 S 0.390 0.197 0.369
S9 S 0.393 0.434 0.350
S10 S 0.412 0.069 0.747
S11 S 0.478 0.681 0.884
```

Largest 10 diffraction maxima, most intense first, 10 to 80 degrees two-theta:
(0 2 1), 2θ = 19.69°, d = 4.509 Å, I 100; (2 0 1), 2θ = 23.46°, d = 3.793 Å, I 100; (1 2 4), 2θ = 30.96°, d = 2.888 Å, I 98; (1 0 3), 2θ = 23.68°, d = 3.757 Å, I 95; (1 0 -4), 2θ = 30.06°, d = 2.972 Å, I 73; (1 0 -2), 2θ = 17.77°, d = 4.991 Å, I 66; (2 -2 0), 2θ = 31.78°, d = 2.815 Å, I 62; (2 2 2), 2θ = 29.81°, d = 2.997 Å, I 61; (1 1 -2), 2θ = 22.18°, d = 4.008 Å, I 44; (-1 2 3), 2θ = 27.70°, d = 3.221 Å, I 38

# 2
Diffraction record for Nb2Tl2S5. The X-ray powder pattern is simulated, not measured: it uses the PBE geometry in OQMD and Cu Ka.

```
data_Nb2Tl2S5
_symmetry_space_group_name_H-M 'C 1 2/c 1'
_symmetry_Int_Tables_number 15
_cell_length_a 10.062
_cell_length_b 7.710
_cell_length_c 12.023
_cell_angle_alpha 90.00
_cell_angle_beta 108.03
_cell_angle_gamma 90.00
loop_
_symmetry_equiv_pos_as_xyz
'x,y,z'
'-x,-y,-z'
'-x,y,-z+1/2'
'x,-y,z+1/2'
'x+1/2,y+1/2,z'
'-x+1/2,-y+1/2,-z'
'-x+1/2,y+1/2,-z+1/2'
'x+1/2,-y+1/2,z+1/2'
loop_
_atom_site_label
_atom_site_type_symbol
_atom_site_fract_x
_atom_site_fract_y
_atom_site_fract_z
Nb1 Nb 0.106 0.185 0.453
Tl1 Tl 0.202 0.342 0.811
S1 S 0.000 0.294 0.250
S2 S 0.042 0.100 0.619
S3 S 0.188 0.469 0.534
```

Largest 10 diffraction maxima, most intense first, 10 to 80 degrees two-theta:
(1 1 -3), 2θ = 25.13°, d = 3.544 Å, I 100; (3 1 -1), 2θ = 29.05°, d = 3.074 Å, I 83; (2 2 1), 2θ = 32.27°, d = 2.774 Å, I 79; (0 2 1), 2θ = 24.37°, d = 3.653 Å, I 56; (3 3 -2), 2θ = 44.98°, d = 2.015 Å, I 44; (1 3 -2), 2θ = 38.36°, d = 2.347 Å, I 37; (1 1 -2), 2θ = 19.25°, d = 4.611 Å, I 36; (1 1 -4), 2θ = 31.96°, d = 2.800 Å, I 34; (2 0 2), 2θ = 27.78°, d = 3.212 Å, I 33; (1 1 5), 2θ = 45.09°, d = 2.011 Å, I 29

# 3
Diffraction record for NbTl2S3. The X-ray powder pattern is simulated, not measured: it uses the PBE geometry in OQMD and Cu Ka.

```
data_NbTl2S3
_symmetry_space_group_name_H-M 'P 1 21/m 1'
_symmetry_Int_Tables_number 11
_cell_length_a 8.025
_cell_length_b 3.572
_cell_length_c 10.329
_cell_angle_alpha 90.00
_cell_angle_beta 100.08
_cell_angle_gamma 90.00
loop_
_symmetry_equiv_pos_as_xyz
'x,y,z'
'-x,-y,-z'
'-x,y+1/2,-z'
'x,-y+1/2,z'
loop_
_atom_site_label
_atom_site_type_symbol
_atom_site_fract_x
_atom_site_fract_y
_atom_site_fract_z
Nb1 Nb 0.084 0.250 0.144
Tl1 Tl 0.246 0.750 0.493
Tl2 Tl 0.424 0.250 0.828
S1 S 0.037 0.250 0.728
S2 S 0.199 0.750 0.009
S3 S 0.352 0.250 0.301
```

Largest 10 diffraction maxima, most intense first, 10 to 80 degrees two-theta:
(1 1 -2), 2θ = 31.55°, d = 2.836 Å, I 100; (2 0 -1), 2θ = 22.68°, d = 3.921 Å, I 60; (1 1 1), 2θ = 29.41°, d = 3.037 Å, I 58; (2 0 2), 2θ = 31.00°, d = 2.885 Å, I 51; (0 0 3), 2θ = 26.29°, d = 3.390 Å, I 40; (3 1 0), 2θ = 42.65°, d = 2.120 Å, I 40; (0 2 0), 2θ = 51.18°, d = 1.785 Å, I 29; (1 1 4), 2θ = 46.90°, d = 1.937 Å, I 29; (2 0 -4), 2θ = 38.61°, d = 2.332 Å, I 23; (3 1 -3), 2θ = 47.26°, d = 1.923 Å, I 21

# 4
Diffraction record for TaNb2Sb. The X-ray powder pattern is simulated, not measured: it uses the PBE geometry in OQMD and Cu Ka.

```
data_TaNb2Sb
_symmetry_space_group_name_H-M 'P 42/m m c'
_symmetry_Int_Tables_number 131
_symmetry_space_group_name_Hall '-P 4c 2'
_cell_length_a 5.298
_cell_length_b 5.298
_cell_length_c 5.314
_cell_angle_alpha 90.00
_cell_angle_beta 90.00
_cell_angle_gamma 90.00
loop_
_atom_site_label
_atom_site_type_symbol
_atom_site_fract_x
_atom_site_fract_y
_atom_site_fract_z
Ta1 Ta 0.000 0.000 0.250
Nb1 Nb 0.249 0.500 0.000
Sb1 Sb 0.000 0.500 0.500
```

Largest 10 diffraction maxima, most intense first, 10 to 80 degrees two-theta:
(2 1 0), 2θ = 37.94°, d = 2.372 Å, I 100; (1 1 2), 2θ = 41.71°, d = 2.166 Å, I 75; (2 0 0), 2θ = 33.84°, d = 2.649 Å, I 33; (3 1 2), 2θ = 65.89°, d = 1.418 Å, I 28; (3 0 2), 2θ = 63.20°, d = 1.471 Å, I 13; (1 0 0), 2θ = 16.73°, d = 5.298 Å, I 13; (4 0 0), 2θ = 71.19°, d = 1.324 Å, I 10; (3 2 1), 2θ = 65.96°, d = 1.416 Å, I 10; (3 2 0), 2θ = 63.29°, d = 1.469 Å, I 9; (2 2 2), 2θ = 60.47°, d = 1.531 Å, I 8

# 5
Diffraction record for Ta5NbSb2. The X-ray powder pattern is simulated, not measured: it uses the PBE geometry in OQMD and Cu Ka.

```
data_Ta5NbSb2
_symmetry_space_group_name_H-M 'P -4 m 2'
_symmetry_Int_Tables_number 115
_cell_length_a 5.299
_cell_length_b 5.299
_cell_length_c 5.290
_cell_angle_alpha 90.00
_cell_angle_beta 90.00
_cell_angle_gamma 90.00
loop_
_symmetry_equiv_pos_as_xyz
'x,y,z'
'y,-x,-z'
'-x,-y,z'
'-y,x,-z'
'-x,y,z'
'-y,-x,-z'
'x,-y,z'
'y,x,-z'
loop_
_atom_site_label
_atom_site_type_symbol
_atom_site_fract_x
_atom_site_fract_y
_atom_site_fract_z
Ta1 Ta 0.000 0.000 0.000
Ta2 Ta 0.250 0.500 0.250
Nb1 Nb 0.000 0.000 0.500
Sb1 Sb 0.000 0.500 0.750
```

Largest 10 diffraction maxima, most intense first, 10 to 80 degrees two-theta:
(2 0 1), 2θ = 37.99°, d = 2.368 Å, I 100; (2 1 1), 2θ = 41.78°, d = 2.162 Å, I 58; (2 1 3), 2θ = 66.00°, d = 1.415 Å, I 30; (0 0 2), 2θ = 33.86°, d = 2.647 Å, I 26; (2 0 3), 2θ = 63.32°, d = 1.469 Å, I 23; (2 2 2), 2θ = 60.56°, d = 1.529 Å, I 11; (4 0 0), 2θ = 71.17°, d = 1.325 Å, I 9; (1 0 1), 2θ = 23.77°, d = 3.744 Å, I 5; (0 0 4), 2θ = 71.31°, d = 1.323 Å, I 5; (0 0 1), 2θ = 16.74°, d = 5.296 Å, I 3

# 6
Diffraction record for TmNbSb2. The X-ray powder pattern is simulated, not measured: it uses the PBE geometry in OQMD and Cu Ka.

```
data_TmNbSb2
_symmetry_space_group_name_H-M 'P 4/m m m'
_symmetry_Int_Tables_number 123
_symmetry_space_group_name_Hall '-P 4 2'
_cell_length_a 4.160
_cell_length_b 4.160
_cell_length_c 5.851
_cell_angle_alpha 90.00
_cell_angle_beta 90.00
_cell_angle_gamma 90.00
loop_
_atom_site_label
_atom_site_type_symbol
_atom_site_fract_x
_atom_site_fract_y
_atom_site_fract_z
Tm1 Tm 0.000 0.000 0.000
Nb1 Nb 0.500 0.500 0.500
Sb1 Sb 0.000 0.000 0.500
Sb2 Sb 0.500 0.500 0.000
```

Largest 10 diffraction maxima, most intense first, 10 to 80 degrees two-theta:
(1 1 0), 2θ = 30.38°, d = 2.942 Å, I 100; (1 1 2), 2θ = 43.63°, d = 2.074 Å, I 74; (0 0 2), 2θ = 30.56°, d = 2.925 Å, I 49; (2 0 2), 2θ = 54.10°, d = 1.695 Å, I 39; (2 0 0), 2θ = 43.50°, d = 2.080 Å, I 37; (3 1 0), 2θ = 71.79°, d = 1.315 Å, I 33; (3 1 2), 2θ = 79.95°, d = 1.200 Å, I 25; (1 1 4), 2θ = 72.11°, d = 1.310 Å, I 16; (2 2 0), 2θ = 63.21°, d = 1.471 Å, I 12; (0 0 4), 2θ = 63.61°, d = 1.463 Å, I 6

# 7
Diffraction record for U3NbSb5. The X-ray powder pattern is simulated, not measured: it uses the PBE geometry in OQMD and Cu Ka.

```
data_U3NbSb5
_symmetry_space_group_name_H-M 'P 63/m c m'
_symmetry_Int_Tables_number 193
_symmetry_space_group_name_Hall '-P 6c 2'
_cell_length_a 9.1538
_cell_length_b 9.1538
_cell_length_c 6.0951
_cell_angle_alpha 90.00
_cell_angle_beta 90.00
_cell_angle_gamma 120.00
loop_
_atom_site_label
_atom_site_type_symbol
_atom_site_fract_x
_atom_site_fract_y
_atom_site_fract_z
U1 U 0.0000 0.3848 0.2500
Nb1 Nb 0.0000 0.0000 0.0000
Sb1 Sb 0.0000 0.2686 0.7500
Sb2 Sb 0.3333 0.6667 0.0000
```

Largest 10 diffraction maxima, most intense first, 10 to 80 degrees two-theta:
(1 1 2), 2θ = 35.39°, d = 2.537 Å, I 100; (3 0 0), 2θ = 33.92°, d = 2.642 Å, I 93; (2 1 1), 2θ = 33.32°, d = 2.689 Å, I 81; (3 1 1), 2θ = 43.77°, d = 2.068 Å, I 34; (1 1 1), 2θ = 24.32°, d = 3.660 Å, I 26; (2 2 2), 2θ = 49.83°, d = 1.830 Å, I 23; (3 0 4), 2θ = 71.46°, d = 1.320 Å, I 23; (0 0 2), 2θ = 29.31°, d = 3.048 Å, I 21; (4 2 1), 2θ = 64.00°, d = 1.455 Å, I 21; (2 1 3), 2θ = 54.57°, d = 1.682 Å, I 20

# 8
Diffraction record for YScNb. The X-ray powder pattern is simulated, not measured: it uses the PBE geometry in OQMD and Cu Ka.

```
data_YScNb
_symmetry_space_group_name_H-M 'F -4 3 m'
_symmetry_Int_Tables_number 216
_symmetry_space_group_name_Hall 'F -4 2 3'
_cell_length_a 6.941
_cell_length_b 6.941
_cell_length_c 6.941
_cell_angle_alpha 90.00
_cell_angle_beta 90.00
_cell_angle_gamma 90.00
loop_
_atom_site_label
_atom_site_type_symbol
_atom_site_fract_x
_atom_site_fract_y
_atom_site_fract_z
Y1 Y 0.000 0.000 0.000
Sc1 Sc 0.000 0.000 0.500
Nb1 Nb 0.250 0.250 0.750
```

Largest 10 diffraction maxima, most intense first, 10 to 80 degrees two-theta:
(2 2 0), 2θ = 36.62°, d = 2.454 Å, I 100; (1 1 1), 2θ = 22.18°, d = 4.007 Å, I 52; (4 2 2), 2θ = 65.93°, d = 1.417 Å, I 33; (3 1 1), 2θ = 43.23°, d = 2.093 Å, I 26; (4 0 0), 2θ = 52.75°, d = 1.735 Å, I 17; (3 3 1), 2θ = 57.91°, d = 1.592 Å, I 11; (4 4 0), 2θ = 77.85°, d = 1.227 Å, I 10; (5 1 1), 2θ = 70.50°, d = 1.336 Å, I 8; (2 0 0), 2θ = 25.67°, d = 3.471 Å, I 4; (4 2 0), 2θ = 59.56°, d = 1.552 Å, I 1